# 1
Starting from the PBE geometry in Alexandria, the X-ray powder pattern of Cu3As4 was simulated for CuKα.
Lines closer than 0.1° are merged.

Most intense lines, 2θ = 10–90°, by intensity:
Position (°2θ)  intensity  hkl
40.00  100  1 0 7
47.85  100  1 2 7
37.51  98  1 2 3
26.77  88  0 2 2
48.48  68  2 0 0
41.89  55  1 2 5
18.42  51  0 1 3
25.17  47  0 2 0
28.38  46  1 1 2
38.55  42  1 1 6

Atomic structure:
a b c (Å): 3.7558 7.0765 19.7272
angles (deg): 90.00 90.00 90.00
Space group Immm (No. 71)
Asymmetric unit:
Cu 0.0000 0.0000 0.1694 [4 per cell]
Cu 0.0000 0.2057 0.0677 [8 per cell]
As 0.0000 0.1780 0.5000 [4 per cell]
As 0.0000 0.2530 0.3446 [8 per cell]
As 0.0000 0.5000 0.2455 [4 per cell]

***

# 2
Starting from the PBE geometry in Alexandria, the X-ray powder pattern of Pm10PrTh4 was simulated for CuKα.
Lines closer than 0.1° are merged.

Most intense lines, 2θ = 10–90°, by intensity:
Position (°2θ)  intensity  hkl
28.47  100  3 0 1
31.99  96  2 1 3
28.74  82  3 1 0
33.21  75  1 3 2
26.18  69  1 0 3
33.92  50  3 2 1
44.49  43  2 4 2
50.28  40  0 0 6
12.75  29  1 1 0
53.62  26  2 4 4

Atomic structure:
a b c (Å): 9.8212 9.8212 10.8873
angles (deg): 90.00 90.00 90.00
Space group I4/m (No. 87)
Asymmetric unit:
Pm 0.0000 0.5000 0.2500 [4 per cell]
Pm 0.1183 0.2108 0.1562 [16 per cell]
Pr 0.0000 0.0000 0.5000 [2 per cell]
Th 0.0590 0.3352 0.5000 [8 per cell]